This entry pairs a crystal structure of Tb5Bi4P with its theoretical XRD peak list. Radiation: copper Kα. Structure: a structure optimized by DFT (PBE).
No peak broadening, texture or thermal motion is included.

Crystal structure
Cell: 7.6208 7.6208 7.6208 Å, 99.68 99.68 131.59°
Fractional coordinates of all 10 atoms:
Tb 0.0000 0.0000 0.0000
Tb 0.2232 0.5975 0.8195
Tb 0.4037 0.2232 0.6257
Tb 0.5975 0.7779 0.3743
Tb 0.7779 0.4037 0.1805
Bi 0.0926 0.3048 0.3963
Bi 0.3048 0.9085 0.2122
Bi 0.6963 0.0926 0.7878
Bi 0.9085 0.6963 0.6037
P 0.5010 0.5010 0.0000

Principal peaks in the range 15 to 90 degrees two-theta, sorted by position:
28.57°, I = 51.2; 28.72°, I = 100.0; 40.95°, I = 78.1; 41.06°, I = 35.7; 50.79°, I = 38.8; 59.10°, I = 12.0; 67.05°, I = 18.6; 67.32°, I = 30.0; 74.52°, I = 12.7; 74.74°, I = 21.9